Record 1
This entry pairs a crystal structure of InOsCl with its theoretical powder X-ray diffraction pattern. Radiation: Cu Ka. Structure: a PBE-relaxed structure.
Lines closer than 0.1° are merged.

```
data_InOsCl
_space_group_name_H-M_alt 'F m m 2'
_space_group_IT_number 42
_space_group_name_Hall 'F 2 -2'
_cell_length_a 2.8553
_cell_length_b 5.4442
_cell_length_c 15.7420
_cell_angle_alpha 90.00
_cell_angle_beta 90.00
_cell_angle_gamma 90.00
loop_
_atom_site_label
_atom_site_fract_x
_atom_site_fract_y
_atom_site_fract_z
In1 0.0000 0.0000 0.0000
Os1 0.0000 0.0000 0.6582
Cl1 0.0000 0.0000 0.2783
```

Top 6 peaks for 2θ from 5° to 70°, most intense first:
11.24 deg, I 100
39.56 deg, I 85
32.90 deg, I 39
46.06 deg, I 30
34.18 deg, I 26
63.25 deg, I 21

---

Record 2
This entry pairs a crystal structure of K2RuO4 with its theoretical powder X-ray diffraction pattern. Radiation: Cu Ka. Structure: a PBE-relaxed structure.
Lines closer than 0.1° are merged.

```
data_K2RuO4
_space_group_name_H-M_alt 'P n m a'
_space_group_IT_number 62
_cell_length_a 8.1161
_cell_length_b 6.4788
_cell_length_c 10.5985
_cell_angle_alpha 90.00
_cell_angle_beta 90.00
_cell_angle_gamma 90.00
loop_
_space_group_symop_operation_xyz
'x,y,z'
'-x,-y,-z'
'-x+1/2,-y,z+1/2'
'x+1/2,y,-z+1/2'
'x+1/2,-y+1/2,-z+1/2'
'-x+1/2,y+1/2,z+1/2'
'-x,y+1/2,-z'
'x,-y+1/2,z'
loop_
_atom_site_label
_atom_site_fract_x
_atom_site_fract_y
_atom_site_fract_z
K1 0.0081 0.2500 0.2289
K2 0.1992 0.2500 0.5681
Ru1 0.2231 0.2500 0.9023
O1 0.0227 0.2500 0.9710
O2 0.1216 0.7500 0.5239
O3 0.2501 0.0254 0.8034
```

Top 6 peaks for 2θ from 5° to 70°, most intense first:
28.78 deg, I 100
27.26 deg, I 96
19.43 deg, I 71
27.54 deg, I 66
20.01 deg, I 58
21.90 deg, I 37

---

Record 3
This entry pairs a crystal structure of Cs2NiSeCl6 with its theoretical powder X-ray diffraction pattern. Radiation: Cu Ka. Structure: a PBE-relaxed structure.
Lines closer than 0.1° are merged.

```
data_Cs2NiSeCl6
_space_group_name_H-M_alt 'I 4/m m m'
_space_group_IT_number 139
_space_group_name_Hall '-I 4 2'
_cell_length_a 7.4155
_cell_length_b 7.4155
_cell_length_c 10.2375
_cell_angle_alpha 90.00
_cell_angle_beta 90.00
_cell_angle_gamma 90.00
loop_
_atom_site_label
_atom_site_fract_x
_atom_site_fract_y
_atom_site_fract_z
Cs1 0.0000 0.5000 0.2500
Ni1 0.0000 0.0000 0.0000
Se1 0.0000 0.0000 0.5000
Cl1 0.0000 0.0000 0.2634
Cl2 0.2177 0.2177 0.0000
```

Top 6 peaks for 2θ from 5° to 70°, most intense first:
24.30 deg, I 100
34.20 deg, I 64
29.75 deg, I 54
24.00 deg, I 53
49.79 deg, I 41
42.40 deg, I 40